Calculated XRD peak list of NaMn3O6 for Cu Kα (weighted mean of Kα1 and Kα2), from a structure optimized by DFT (GGA+U).

Structure:
Lattice parameters (Å, degrees): 8.440 8.457 26.420 90.00 90.00 90.00
Space group Fddd (No. 70, origin choice 2)
Symmetry-distinct sites (fractional):
Na 0.125 0.125 0.291
Mn 0.000 0.000 0.500
Mn 0.005 0.004 0.837
O 0.017 0.017 0.762
O 0.019 0.019 0.090
O 0.020 0.021 0.414

Most intense lines, 10 to 90 degrees two-theta, sorted by position:
(1 1 3), 2θ 17.94, rel. 100.0; (1 1 9), 2θ 34.03, rel. 25.0; (3 1 3), 2θ 35.10, rel. 43.2; (0 0 12), 2θ 40.99, rel. 18.5; (4 0 0), 2θ 42.81, rel. 34.8; (4 0 12), 2θ 60.77, rel. 26.9

Calculated XRD peak list of NaMn8O16 for Cu Kα (weighted mean of Kα1 and Kα2), from a structure optimized by DFT (GGA+U).

Structure:
Lattice parameters (Å, degrees): 9.875 5.900 13.998 90.00 134.40 90.00
Space group P2/c (No. 13)
Symmetry-distinct sites (fractional):
Na 0.000 0.126 0.250
Mn 0.182 0.376 0.584
Mn 0.183 0.126 0.084
Mn 0.481 0.126 0.899
Mn 0.482 0.375 0.400
O 0.051 0.125 0.453
O 0.053 0.375 0.956
O 0.285 0.125 0.707
O 0.286 0.375 0.207
O 0.355 0.125 0.406
O 0.359 0.375 0.907
O 0.382 0.125 0.089
O 0.382 0.375 0.590

Most intense lines, 10 to 90 degrees two-theta, sorted by position:
(1 0 0), 2θ 12.55, rel. 85.9; (1 0 -2), 2θ 12.65, rel. 86.1; (0 0 2), 2θ 17.74, rel. 74.5; (2 0 -2), 2θ 17.97, rel. 82.6; (1 2 1), 2θ 36.46, rel. 79.5; (2 2 -3), 2θ 36.61, rel. 100.0

Calculated XRD peak list of Na7Mn16O32 for Cu Kα (weighted mean of Kα1 and Kα2), from a structure optimized by DFT (GGA+U).

Structure:
Lattice parameters (Å, degrees): 8.656 8.773 10.490 65.62 66.06 89.82
Space group P1 (No. 1)
Symmetry-distinct sites (fractional):
Na 0.000 0.000 0.000
Na 0.105 0.630 0.256
Na 0.249 0.740 0.499
Na 0.361 0.363 0.764
Na 0.490 0.500 0.003
Na 0.610 0.122 0.255
Na 0.740 0.243 0.511
Mn 0.051 0.310 0.137
Mn 0.052 0.316 0.627
Mn 0.173 0.189 0.383
Mn 0.177 0.686 0.875
Mn 0.301 0.059 0.628
Mn 0.307 0.048 0.136
Mn 0.429 0.443 0.374
Mn 0.432 0.923 0.880
Mn 0.549 0.799 0.636
Mn 0.565 0.802 0.113
Mn 0.682 0.686 0.377
Mn 0.684 0.177 0.878
Mn 0.798 0.564 0.642
Mn 0.812 0.572 0.119
Mn 0.930 0.927 0.391
Mn 0.932 0.441 0.878
O 0.022 0.535 0.649
O 0.042 0.582 0.097
O 0.071 0.037 0.165
O 0.078 0.098 0.617
O 0.150 0.451 0.900
O 0.151 0.398 0.407
O 0.203 0.982 0.361
O 0.209 0.919 0.856
O 0.262 0.299 0.158
O 0.284 0.335 0.601
O 0.318 0.792 0.653
O 0.348 0.810 0.103
O 0.394 0.208 0.397
O 0.412 0.711 0.864
O 0.435 0.134 0.898
O 0.469 0.679 0.344
O 0.523 0.021 0.645
O 0.556 0.033 0.104
O 0.575 0.566 0.143
O 0.577 0.577 0.645
O 0.647 0.919 0.889
O 0.660 0.888 0.413
O 0.706 0.482 0.343
O 0.718 0.438 0.866
O 0.785 0.790 0.115
O 0.785 0.797 0.623
O 0.809 0.326 0.655
O 0.835 0.347 0.109
O 0.893 0.691 0.416
O 0.930 0.227 0.860
O 0.944 0.659 0.886
O 0.955 0.163 0.369

Most intense lines, 10 to 90 degrees two-theta, sorted by position:
(1 1 0), 2θ 17.61, rel. 39.5; (1 -1 1), 2θ 17.78, rel. 100.0; (1 -3 0), 2θ 34.05, rel. 31.0; (3 1 3), 2θ 34.45, rel. 25.5; (0 4 2), 2θ 41.16, rel. 25.8; (4 0 2), 2θ 41.74, rel. 25.6

Calculated XRD peak list of NaMn3O6 for Cu Kα (weighted mean of Kα1 and Kα2), from a structure optimized by DFT (GGA+U).

Structure:
Lattice parameters (Å, degrees): 10.986 5.745 14.356 90.00 94.49 90.00
Space group C2/c (No. 15)
Symmetry-distinct sites (fractional):
Na 0.219 0.075 0.432
Mn 0.027 0.373 0.092
Mn 0.028 0.125 0.592
Mn 0.223 0.381 0.769
O 0.042 0.124 0.348
O 0.053 0.376 0.850
O 0.094 0.371 0.515
O 0.096 0.125 0.018
O 0.179 0.377 0.176
O 0.182 0.140 0.674

Most intense lines, 10 to 90 degrees two-theta, sorted by position:
(2 0 -2), 2θ 19.63, rel. 100.0; (2 0 4), 2θ 30.90, rel. 41.5; (2 2 1), 2θ 36.08, rel. 32.0; (0 2 3), 2θ 36.51, rel. 34.3; (2 2 -3), 2θ 39.54, rel. 38.8; (2 2 -5), 2θ 46.91, rel. 26.8

Calculated XRD peak list of Na6MnO4 for Cu Kα (weighted mean of Kα1 and Kα2), from a structure optimized by DFT (GGA+U).

Structure:
Lattice parameters (Å, degrees): 7.7684 7.7684 5.9663 90.00 90.00 120.00
Space group P6_3mc (No. 186)
Symmetry-distinct sites (fractional):
Na 0.0784 0.5392 0.0000
Na 0.1395 0.2790 0.3321
Mn 0.3333 0.6667 0.6037
O 0.1870 0.3740 0.7217
O 0.3333 0.6667 0.2610

Most intense lines, 10 to 90 degrees two-theta, sorted by position:
(1 0 0), 2θ 13.16, rel. 51.4; (1 0 1), 2θ 19.89, rel. 38.8; (1 0 2), 2θ 32.84, rel. 34.6; (2 1 1), 2θ 38.48, rel. 100.0; (2 0 2), 2θ 40.41, rel. 43.6; (2 2 0), 2θ 46.78, rel. 53.9

Calculated XRD peak list of NaMn2O4 for Cu Kα (weighted mean of Kα1 and Kα2), from a structure optimized by DFT (GGA+U).

Structure:
Lattice parameters (Å, degrees): 8.485 9.209 8.427 90.00 90.00 90.00
Space group C222_1 (No. 20)
Symmetry-distinct sites (fractional):
Na 0.000 0.245 0.250
Na 0.228 0.500 0.000
Mn 0.124 0.115 0.873
Mn 0.128 0.364 0.623
O 0.105 0.120 0.647
O 0.106 0.330 0.860
O 0.141 0.098 0.107
O 0.148 0.387 0.393

Most intense lines, 10 to 90 degrees two-theta, sorted by position:
(1 1 1), 2θ 17.69, rel. 100.0; (1 3 1), 2θ 32.80, rel. 35.8; (3 1 1), 2θ 34.85, rel. 30.2; (1 1 3), 2θ 35.03, rel. 31.2; (0 4 0), 2θ 39.13, rel. 21.1; (4 0 0), 2θ 42.62, rel. 18.9

What did the second record say?
Calculated XRD peak list of NaMn8O16 for Cu Kα (weighted mean of Kα1 and Kα2), from a structure optimized by DFT (GGA+U).

Structure:
Lattice parameters (Å, degrees): 9.875 5.900 13.998 90.00 134.40 90.00
Space group P2/c (No. 13)
Symmetry-distinct sites (fractional):
Na 0.000 0.126 0.250
Mn 0.182 0.376 0.584
Mn 0.183 0.126 0.084
Mn 0.481 0.126 0.899
Mn 0.482 0.375 0.400
O 0.051 0.125 0.453
O 0.053 0.375 0.956
O 0.285 0.125 0.707
O 0.286 0.375 0.207
O 0.355 0.125 0.406
O 0.359 0.375 0.907
O 0.382 0.125 0.089
O 0.382 0.375 0.590

Most intense lines, 10 to 90 degrees two-theta, sorted by position:
(1 0 0), 2θ 12.55, rel. 85.9; (1 0 -2), 2θ 12.65, rel. 86.1; (0 0 2), 2θ 17.74, rel. 74.5; (2 0 -2), 2θ 17.97, rel. 82.6; (1 2 1), 2θ 36.46, rel. 79.5; (2 2 -3), 2θ 36.61, rel. 100.0

Q: Number 3 is which compound?
A: Na7Mn16O32